Structure and theoretical PXRD pattern of SrTl2AsO4 (a structure optimized by DFT (GGA-PBE); copper Kα).
Intensities are scaled so that the largest is 1000.

Principal peaks in the range 5° ≤ 2θ ≤ 70°, by angle:
17.13 deg, d 5.176, I = 396; 20.41 deg, d 4.351, I = 1000; 28.81 deg, d 3.099, I = 882; 29.06 deg, d 3.073, I = 194; 31.17 deg, d 2.870, I = 442; 32.33 deg, d 2.769, I = 333; 33.18 deg, d 2.700, I = 287; 33.72 deg, d 2.658, I = 620; 37.85 deg, d 2.377, I = 430; 51.21 deg, d 1.784, I = 362; 59.65 deg, d 1.550, I = 236; 60.01 deg, d 1.542, I = 167

Atomic structure:
a b c (Å): 12.572 11.757 6.203
angles (deg): 82.65 68.05 29.30
Element x y z (fractional)
Sr: 0.125 0.125 0.125
Sr: 0.875 0.875 0.875
Tl: 0.031 0.031 0.719
Tl: 0.281 0.281 0.969
Tl: 0.719 0.719 0.031
Tl: 0.969 0.969 0.281
As: 0.375 0.375 0.375
As: 0.625 0.625 0.625
O: 0.069 0.597 0.496
O: 0.338 0.496 0.597
O: 0.403 0.931 0.662
O: 0.496 0.338 0.069
O: 0.504 0.662 0.931
O: 0.597 0.069 0.338
O: 0.662 0.504 0.403
O: 0.931 0.403 0.504